This entry pairs a crystal structure of CrTe2Se with its simulated X-ray diffraction stick pattern. Radiation: CuKα. Structure: the GGA-PBE geometry in Alexandria.
Kinematic intensities with the Lorentz-polarization factor, no thermal factor.

Main lines, most intense first (5 to 70 degrees two-theta):
| 2theta | intensity | (hkl) |
| --- | --- | --- |
| 27.75 | 100 | 0 1 1 |
| 31.15 | 76 | 1 0 1 |
| 38.46 | 56 | 1 1 1 |
| 36.54 | 48 | 2 0 -1 |
| 29.82 | 47 | 1 1 0 |
| 46.49 | 47 | 2 1 -2 |
| 55.61 | 30 | 1 2 1 |
| 19.90 | 28 | 1 0 0 |
| 40.69 | 27 | 0 1 2 |
| 44.84 | 27 | 0 2 0 |

a = 4.919 Å, b = 4.043 Å, c = 5.840 Å
α = 90.00°, β = 114.74°, γ = 90.00°
Positions (direct):
1 Cr 0.000 0.000 0.000
2 Te 0.170 0.500 0.341
3 Te 0.830 0.500 0.659
4 Se 0.500 0.000 0.000


This entry pairs a crystal structure of Cr4Te3Se with its simulated X-ray diffraction stick pattern. Radiation: CuKα. Structure: the GGA-PBE geometry in Alexandria.
Kinematic intensities with the Lorentz-polarization factor, no thermal factor.

Main lines, most intense first (5 to 70 degrees two-theta):
| 2theta | intensity | (hkl) |
| --- | --- | --- |
| 29.20 | 100 | 1 0 2 |
| 38.44 | 60 | 1 0 4 |
| 44.91 | 43 | 1 1 0 |
| 50.65 | 21 | 1 0 6 |
| 54.47 | 17 | 2 0 2 |
| 60.56 | 15 | 2 0 4 |
| 69.98 | 9 | 2 0 6 |
| 53.93 | 7 | 1 1 4 |
| 28.29 | 6 | 0 0 4 |
| 58.52 | 6 | 0 0 8 |

a = 4.037 Å, b = 4.037 Å, c = 12.618 Å
α = 90.00°, β = 90.00°, γ = 120.00°
Positions (direct):
1 Cr 0.000 0.000 0.117
2 Cr 0.000 0.000 0.372
3 Cr 0.000 0.000 0.628
4 Cr 0.000 0.000 0.883
5 Te 0.333 0.667 0.245
6 Te 0.333 0.667 0.755
7 Te 0.667 0.333 0.500
8 Se 0.667 0.333 0.000